No. 1
Computed powder diffractogram of Gd2CuSe4O12 for Cu Kα, 1.54184 Å, from a DFT-relaxed cell (PBE, the Materials Project).
Kinematic intensities with the Lorentz-polarization factor, no thermal factor.

The 10 most intense peaks (2θ from 15° to 90°), in order of rising 2θ:
(1 1 0), 15.31°, I 43; (2 1 -2), 27.04°, I 41; (1 0 2), 27.40°, I 90; (3 1 -1), 27.80°, I 66; (0 2 1), 27.99°, I 100; (3 1 0), 29.05°, I 56; (1 2 1), 30.51°, I 59; (3 1 -2), 31.29°, I 90; (3 3 -1), 46.30°, I 40; (2 1 -4), 46.41°, I 48

Structure:
a b c (Å): 10.8992 7.0076 8.1571
angles (deg): 90.00 109.69 90.00
Space group P2_1/c (No. 14)
Unique sites:
Gd1 0.0872 0.1566 0.2400 [4 per cell]
Cu1 0.5000 0.0000 0.5000 [2 per cell]
Se1 0.1814 0.6732 0.1364 [4 per cell]
Se2 0.3642 0.1723 0.1210 [4 per cell]
O1 0.0565 0.6552 0.5856 [4 per cell]
O2 0.0984 0.5024 0.2144 [4 per cell]
O3 0.1635 0.6109 0.9277 [4 per cell]
O4 0.2000 0.2209 0.0300 [4 per cell]
O5 0.3481 0.1138 0.3221 [4 per cell]
O6 0.4402 0.1081 0.6781 [4 per cell]

No. 2
Computed powder diffractogram of Gd2TiCuO6 for Cu Kα, 1.54184 Å, from a DFT-relaxed cell (PBE, the Materials Project).
Kinematic intensities with the Lorentz-polarization factor, no thermal factor.

The 10 most intense peaks (2θ from 15° to 90°), in order of rising 2θ:
(1 1 -1), 22.57°, I 37; (0 0 2), 23.56°, I 26; (0 2 0), 31.05°, I 36; (1 1 1), 32.77°, I 97; (1 1 -3), 32.94°, I 100; (2 0 -2), 33.18°, I 51; (0 2 1), 33.29°, I 32; (2 2 -2), 46.07°, I 34; (0 0 4), 48.21°, I 27; (1 3 0), 51.97°, I 44

Structure:
a b c (Å): 5.4009 5.7611 9.2533
angles (deg): 90.00 125.31 90.00
Space group P2_1/c (No. 14)
Unique sites:
Gd1 0.2308 0.0712 0.2495 [4 per cell]
Ti1 0.5000 0.0000 0.0000 [2 per cell]
Cu1 0.0000 0.0000 0.5000 [2 per cell]
O1 0.1514 0.1794 0.9452 [4 per cell]
O2 0.2595 0.7091 0.9409 [4 per cell]
O3 0.3618 0.0401 0.7510 [4 per cell]

No. 3
Computed powder diffractogram of Gd2Ti12Cu9O36 for Cu Kα, 1.54184 Å, from a DFT-relaxed cell (PBE, the Materials Project).
Kinematic intensities with the Lorentz-polarization factor, no thermal factor.

The 10 most intense peaks (2θ from 15° to 90°), in order of rising 2θ:
(1 0 1), 16.86°, I 7; (2 0 1), 23.93°, I 7; (0 2 2), 34.10°, I 100; (2 1 2), 38.27°, I 9; (0 4 1), 42.09°, I 9; (1 3 2), 45.65°, I 7; (4 0 2), 49.00°, I 28; (2 0 4), 61.04°, I 48; (0 4 4), 71.81°, I 12; (6 -2 4), 81.94°, I 16

Structure:
a b c (Å): 10.5131 10.5131 6.4442
angles (deg): 90.00 90.00 120.00
Space group P-3 (No. 147)
Unique sites:
Gd1 0.3333 0.6667 0.3295 [2 per cell]
Ti1 0.0000 0.0000 0.5000 [1 per cell]
Ti2 0.0000 0.5000 0.5000 [3 per cell]
Ti3 0.1583 0.3186 0.1634 [6 per cell]
Ti4 0.3333 0.6667 0.8405 [2 per cell]
Cu1 0.0000 0.5000 0.0000 [3 per cell]
Cu2 0.1675 0.8320 0.6634 [6 per cell]
O1 0.0167 0.1638 0.3289 [6 per cell]
O2 0.0439 0.2677 0.9120 [6 per cell]
O3 0.0754 0.4497 0.2504 [6 per cell]
O4 0.1168 0.7075 0.4147 [6 per cell]
O5 0.1756 0.5256 0.6481 [6 per cell]
O6 0.1922 0.6836 0.0157 [6 per cell]